# Zr3NbCr4F24
Computed X-ray diffraction stick pattern, CuKα. Input: a cell relaxed with GGA+U.
Peak positions follow from Bragg's law for the DFT cell and can differ from measured ones.

Structure:
Cell lengths 5.949, 8.211, 11.867 Å; angles 90.00, 90.23, 90.00 degrees
Space group Pm (No. 6)
Symmetry-distinct sites (fractional):
1 Zr 0.000 0.000 0.000 (multiplicity 1)
2 Zr 0.035 0.000 0.499 (multiplicity 1)
3 Zr 0.499 0.500 0.751 (multiplicity 1)
4 Nb 0.537 0.500 0.250 (multiplicity 1)
5 Cr 0.016 0.500 0.002 (multiplicity 1)
6 Cr 0.017 0.500 0.500 (multiplicity 1)
7 Cr 0.516 0.000 0.750 (multiplicity 1)
8 Cr 0.520 0.000 0.250 (multiplicity 1)
9 F 0.002 0.251 0.000 (multiplicity 2)
10 F 0.033 0.250 0.499 (multiplicity 2)
11 F 0.235 0.000 0.121 (multiplicity 1)
12 F 0.235 0.000 0.879 (multiplicity 1)
13 F 0.250 0.500 0.628 (multiplicity 1)
14 F 0.252 0.500 0.872 (multiplicity 1)
15 F 0.284 0.000 0.377 (multiplicity 1)
16 F 0.285 0.000 0.621 (multiplicity 1)
17 F 0.298 0.500 0.129 (multiplicity 1)
18 F 0.308 0.500 0.366 (multiplicity 1)
19 F 0.502 0.250 0.750 (multiplicity 2)
20 F 0.533 0.250 0.250 (multiplicity 2)
21 F 0.734 0.500 0.629 (multiplicity 1)
22 F 0.736 0.500 0.872 (multiplicity 1)
23 F 0.751 0.000 0.120 (multiplicity 1)
24 F 0.751 0.000 0.877 (multiplicity 1)
25 F 0.777 0.500 0.134 (multiplicity 1)
26 F 0.787 0.500 0.372 (multiplicity 1)
27 F 0.799 0.000 0.378 (multiplicity 1)
28 F 0.801 0.000 0.620 (multiplicity 1)

Peak list (6 most intense, 10° ≤ 2θ ≤ 90°, low angle first)
Position (°2θ)  Rel. int.  (hkl)
18.43  14  0 1 2
21.15  100  1 0 2
21.65  47  0 2 0
30.44  25  1 2 -2
48.59  14  1 0 6
49.41  18  1 4 2